Entry 1:
For PmHo3Rh, a PBE-relaxed structure gives the calculated powder diffraction line list in this record (Cu Kα).

The 8 most intense peaks (2θ = 10–90°), in order of falling intensity:
d/Å  2θ (°)  I_rel
2.885  31.0  100
2.242  40.2  29
1.740  52.6  23
3.084  29.0  19
1.882  48.4  17
1.579  58.4  11
3.264  27.3  10
1.607  57.3  10

```
10
Lattice="7.5547 0.0000 0.0000 0.0000 6.5130 0.0000 0.0000 0.0000 6.1681" Properties=species:S:1:pos:R:3 pbc="T T T"
Pm 0.0000 0.9513 0.0000
Pm 3.7774 5.5616 3.0840
Ho 0.0000 5.5163 2.9767
Ho 1.8750 2.0671 3.0394
Ho 1.9024 4.4459 6.1235
Ho 3.7774 0.9967 6.0608
Ho 5.6523 4.4459 6.1235
Ho 5.6798 2.0671 3.0394
Rh 0.0000 3.2999 4.5711
Rh 3.7774 3.2131 1.4870
```

---

Entry 2:
For Sc2InTe, a PBE-relaxed structure gives the calculated powder diffraction line list in this record (Cu Kα).

The 8 most intense peaks (2θ = 10–90°), in order of falling intensity:
d/Å  2θ (°)  I_rel
2.912  30.7  100
2.195  41.1  44
1.946  46.7  30
3.236  27.6  27
1.370  68.5  18
1.618  56.9  16
3.858  23.1  14
1.244  76.6  13

```
4
Lattice="1.9457 1.1234 7.7164 -1.9457 1.1234 7.7164 0.0000 -2.2467 7.7164" Properties=species:S:1:pos:R:3 pbc="T T T"
Sc 0.0000 0.0000 5.7191
Sc 0.0000 0.0000 17.4301
In 0.0000 0.0000 0.0000
Te 0.0000 0.0000 11.5746
```

---

Entry 3:
For RbNa6Cd8, a PBE-relaxed structure gives the calculated powder diffraction line list in this record (Cu Kα).

The 8 most intense peaks (2θ = 10–90°), in order of falling intensity:
d/Å  2θ (°)  I_rel
2.573  34.9  100
2.562  35.0  85
6.262  14.1  69
3.631  24.5  69
2.380  37.8  54
1.890  48.1  29
2.478  36.2  22
2.982  30.0  21

```
15
Lattice="4.4564 2.5729 6.2616 -4.4564 2.5729 6.2616 0.0000 -5.1458 6.2616" Properties=species:S:1:pos:R:3 pbc="T T T"
Rb 0.0000 0.0000 0.0000
Na -1.9877 0.0319 7.0261
Na 0.9663 -1.7374 7.0261
Na -1.0215 -1.7055 11.7586
Na 1.0215 1.7055 7.0261
Na -0.9663 1.7374 11.7586
Na 1.9878 -0.0319 11.7586
Cd -1.4871 -2.6676 8.8105
Cd -3.0538 -0.0459 9.9742
Cd 0.0000 0.0000 4.2413
Cd -1.5667 2.6217 8.8105
Cd 1.5667 -2.6217 9.9742
Cd 0.0000 0.0000 14.5433
Cd 3.0538 0.0459 8.8105
Cd 1.4871 2.6676 9.9742
```

---

Entry 4:
For YVCl, a PBE-relaxed structure gives the calculated powder diffraction line list in this record (Cu Kα).

The 8 most intense peaks (2θ = 10–90°), in order of falling intensity:
d/Å  2θ (°)  I_rel
2.636  34.0  100
2.467  36.4  85
2.367  38.0  79
2.422  37.1  52
8.684  10.2  45
1.580  58.4  39
2.056  44.0  35
2.997  29.8  30

```
6
Lattice="1.7516 -8.6844 0.0000 1.7516 8.6844 0.0000 0.0000 0.0000 4.1129" Properties=species:S:1:pos:R:3 pbc="T T T"
Y 1.7516 6.6491 3.0846
Y 1.7516 -6.6491 1.0282
V 1.7516 0.4195 3.0846
V 1.7516 -0.4195 1.0282
Cl 1.7516 3.2174 3.0846
Cl 1.7516 -3.2174 1.0282
```

---

Entry 5:
For TbPrHo6Tm2, a PBE-relaxed structure gives the calculated powder diffraction line list in this record (Cu Kα).

The 8 most intense peaks (2θ = 10–90°), in order of falling intensity:
d/Å  2θ (°)  I_rel
2.880  31.1  100
2.915  30.7  98
2.868  31.2  96
3.119  28.6  89
2.599  34.5  67
2.836  31.5  62
2.808  31.9  59
2.738  32.7  37

```
20
Lattice="4.5674 -7.4625 0.0000 4.5674 7.4625 0.0000 -0.9590 0.0000 9.3627" Properties=species:S:1:pos:R:3 pbc="T T T"
Tb 3.8481 6.1253 7.0220
Tb 4.3277 -6.1253 2.3407
Pr 4.3277 0.4586 2.3407
Pr 3.8481 -0.4586 7.0220
Ho 3.3175 5.7964 3.5992
Ho 2.4546 3.3925 1.6941
Ho 5.3378 5.7964 1.0821
Ho 3.4621 2.7265 5.2182
Ho 4.2342 2.7265 8.8259
Ho 6.2007 3.3925 2.9872
Ho 1.9750 -3.3925 6.3755
Ho 3.9416 -2.7265 0.5368
Ho 4.7137 -2.7265 4.1445
Ho 2.8380 -5.7964 8.2806
Ho 5.7212 -3.3925 7.6686
Ho 4.8582 -5.7964 5.7635
Tm 1.3498 0.7809 8.8996
Tm 1.8293 -0.7809 4.2183
Tm 6.3464 0.7809 5.1445
Tm 6.8260 -0.7809 0.4631
```

---

Entry 6:
For Tb8Pr4Sm, a PBE-relaxed structure gives the calculated powder diffraction line list in this record (Cu Kα).

The 8 most intense peaks (2θ = 10–90°), in order of falling intensity:
d/Å  2θ (°)  I_rel
2.782  32.2  100
1.607  57.3  28
1.967  46.2  18
4.542  19.5  11
1.603  57.5  9
3.934  22.6  9
1.245  76.5  8
1.243  76.7  7

```
13
Lattice="5.5687 3.2151 4.5329 -5.5687 3.2151 4.5329 0.0000 -6.4302 4.5329" Properties=species:S:1:pos:R:3 pbc="T T T"
Tb 0.0000 0.0000 3.2509
Tb 0.0000 -3.3527 5.6080
Tb -2.9035 1.6763 5.6080
Tb -2.9035 -1.6763 7.9908
Tb 2.9035 1.6763 5.6080
Tb 2.9035 -1.6763 7.9908
Tb 0.0000 3.3527 7.9908
Tb 0.0000 0.0000 10.3478
Pr 0.0000 0.0000 0.0000
Pr -2.7844 -1.6076 4.5329
Pr -2.7844 1.6076 9.0658
Pr 0.0000 3.2151 4.5329
Sm 0.0000 0.0000 6.7994
```

---

Entry 7:
For HoB2C, a PBE-relaxed structure gives the calculated powder diffraction line list in this record (Cu Kα).

The 8 most intense peaks (2θ = 10–90°), in order of falling intensity:
d/Å  2θ (°)  I_rel
2.348  38.3  100
2.502  35.9  82
3.034  29.4  79
3.392  26.3  73
3.706  24.0  62
1.504  61.7  43
1.645  55.9  37
1.855  49.1  31

```
32
Lattice="6.7836 0.0000 0.0000 0.0000 6.7836 0.0000 0.0000 0.0000 7.4126" Properties=species:S:1:pos:R:3 pbc="T T T"
Ho 1.2955 2.0963 1.8531
Ho 1.2955 2.0963 5.5594
Ho 2.0963 5.4882 1.8531
Ho 2.0963 5.4882 5.5594
Ho 4.6873 1.2955 1.8531
Ho 4.6873 1.2955 5.5594
Ho 5.4882 4.6873 1.8531
Ho 5.4882 4.6873 5.5594
B 0.2340 5.7515 0.0000
B 0.6400 4.0491 0.0000
B 0.6573 4.0319 3.7063
B 1.0321 0.2340 3.7063
B 2.3597 3.6258 3.7063
B 2.7345 0.6400 3.7063
B 2.7518 0.6573 0.0000
B 3.1579 2.3597 0.0000
B 3.6258 4.4240 0.0000
B 4.0319 6.1263 0.0000
B 4.0491 6.1436 3.7063
B 4.4240 3.1579 3.7063
B 5.7515 6.5497 3.7063
B 6.1263 2.7518 3.7063
B 6.1436 2.7345 0.0000
B 6.5497 1.0321 0.0000
C 0.2743 5.5794 3.7063
C 1.2042 0.2743 0.0000
C 2.1876 3.6661 0.0000
C 3.1176 2.1876 3.7063
C 3.6661 4.5961 3.7063
C 4.5961 3.1176 0.0000
C 5.5794 6.5094 0.0000
C 6.5094 1.2042 3.7063
```

---

Entry 8:
For Np4UPa3P8, a PBE-relaxed structure gives the calculated powder diffraction line list in this record (Cu Kα).

The 8 most intense peaks (2θ = 10–90°), in order of falling intensity:
d/Å  2θ (°)  I_rel
2.798  32.0  100
3.241  27.5  56
1.690  54.3  32
3.228  27.6  28
3.212  27.8  27
1.982  45.8  25
1.975  46.0  25
1.684  54.5  14

```
16
Lattice="6.8274 -3.9741 0.0000 6.8274 3.9741 0.0000 -4.5050 0.0000 6.4565" Properties=species:S:1:pos:R:3 pbc="T T T"
Np 0.0000 0.0000 0.0000
Np 1.1612 1.9870 3.2282
Np 1.1612 -1.9870 3.2282
Np 6.8274 0.0000 0.0000
U -2.2525 0.0000 3.2282
Pa 3.4137 1.9870 0.0000
Pa 3.4137 -1.9870 0.0000
Pa 4.5748 0.0000 3.2282
P 3.4468 1.9986 4.8430
P 0.0278 0.0000 4.8263
P 5.7029 1.9986 1.6134
P 2.2851 0.0000 1.6219
P 6.8646 0.0000 4.8346
P 3.4468 -1.9986 4.8430
P 9.1218 0.0000 1.6302
P 5.7029 -1.9986 1.6134
```

---

Entry 9:
For Sm4Dy3ThSe8, a PBE-relaxed structure gives the calculated powder diffraction line list in this record (Cu Kα).

The 8 most intense peaks (2θ = 10–90°), in order of falling intensity:
d/Å  2θ (°)  I_rel
2.930  30.5  100
2.072  43.7  75
1.310  72.1  34
1.691  54.2  26
1.196  80.3  25
3.383  26.3  22
1.465  63.5  12
1.767  51.7  11

```
16
Lattice="4.1432 2.3921 6.7658 -4.1432 2.3921 6.7658 0.0000 -4.7842 6.7658" Properties=species:S:1:pos:R:3 pbc="T T T"
Sm 0.0000 0.0000 0.0000
Sm -2.0716 -1.1960 6.7658
Sm -2.0716 1.1960 13.5316
Sm 0.0000 2.3921 6.7658
Dy -4.1432 0.0000 10.1487
Dy -2.0716 1.1960 3.3829
Dy 2.0716 1.1960 3.3829
Th 0.0000 0.0000 10.1487
Se -2.1088 -1.2175 11.8052
Se 0.0000 0.0000 5.0100
Se 0.0000 -2.4351 8.4922
Se -2.1088 1.2175 8.4922
Se 2.1089 -1.2175 11.8052
Se 0.0000 2.4351 11.8052
Se 0.0000 0.0000 15.2874
Se 2.1089 1.2175 8.4922
```

---

Entry 10:
For Pm3Ga3Pt8, a PBE-relaxed structure gives the calculated powder diffraction line list in this record (Cu Kα).

The 8 most intense peaks (2θ = 10–90°), in order of falling intensity:
d/Å  2θ (°)  I_rel
2.597  34.5  100
2.213  40.8  84
2.548  35.2  54
2.320  38.8  51
2.291  39.3  49
2.561  35.0  48
2.923  30.6  35
2.014  45.0  34

```
14
Lattice="7.9960 -2.2126 0.0000 7.9960 2.2126 0.0000 -4.9418 0.0000 7.5600" Properties=species:S:1:pos:R:3 pbc="T T T"
Pm 0.0000 0.0000 0.0000
Pm 3.1144 0.0000 2.4748
Pm 7.9359 0.0000 5.0852
Ga -2.4709 0.0000 3.7800
Ga 0.2916 0.0000 7.4992
Ga 10.7587 0.0000 0.0608
Pt -0.0497 0.0000 2.9950
Pt -2.0648 0.0000 6.3505
Pt 1.8932 0.0000 5.5997
Pt 6.3480 0.0000 2.4177
Pt 4.7023 0.0000 5.1423
Pt 9.1571 0.0000 1.9603
Pt 13.1151 0.0000 1.2094
Pt 11.1000 0.0000 4.5650
```